Record 1
The following is a simulated powder X-ray diffraction pattern of CaV4O6. It was derived from a PBE+U-relaxed structure, using Cu Kα (λ = 1.5418 Å).

Largest 10 diffraction maxima, most intense first, 2θ from 15° to 90°:
2θ (°), I (rel.)
34.08, 100
41.28, 88
43.40, 51
39.96, 36
32.27, 30
34.86, 30
56.89, 28
59.42, 26
59.76, 25
35.71, 25

Structure:
Cell lengths 3.111, 10.057, 15.437 Å; angles 90.00, 90.00, 90.00 degrees
Space group Cmcm (No. 63)
One atom of each set of equivalent atoms:
Ca 0.000 0.151 0.250 x4
V 0.000 0.098 0.634 x8
V 0.000 0.361 0.543 x8
O 0.000 0.000 0.000 x4
O 0.000 0.178 0.750 x4
O 0.000 0.276 0.088 x8
O 0.000 0.470 0.659 x8

---

Record 2
The following is a simulated powder X-ray diffraction pattern of CaV5O7. It was derived from a PBE+U-relaxed structure, using Cu Kα (λ = 1.5418 Å).

Largest 10 diffraction maxima, most intense first, 2θ from 15° to 90°:
2θ (°), I (rel.)
34.72, 100
42.22, 95
40.64, 95
33.60, 43
59.35, 33
39.26, 31
60.19, 31
44.00, 29
55.31, 28
60.03, 28

Structure:
Cell lengths 3.114, 10.146, 18.014 Å; angles 90.00, 90.00, 90.00 degrees
Space group Cmc2_1 (No. 36)
One atom of each set of equivalent atoms:
Ca 0.000 0.210 0.000 x4
V 0.000 0.003 0.247 x4
V 0.000 0.274 0.678 x4
V 0.000 0.275 0.324 x4
V 0.000 0.460 0.098 x4
V 0.000 0.460 0.899 x4
O 0.000 0.086 0.858 x4
O 0.000 0.087 0.137 x4
O 0.000 0.166 0.422 x4
O 0.000 0.168 0.578 x4
O 0.000 0.368 0.790 x4
O 0.000 0.370 0.210 x4
O 0.000 0.460 0.499 x4

---

Record 3
The following is a simulated powder X-ray diffraction pattern of CaV5O7. It was derived from a PBE+U-relaxed structure, using Cu Kα (λ = 1.5418 Å).

Largest 10 diffraction maxima, most intense first, 2θ from 15° to 90°:
2θ (°), I (rel.)
34.63, 100
40.50, 96
42.10, 96
59.86, 58
33.65, 42
59.55, 32
39.18, 30
43.93, 28
60.08, 28
55.36, 27

Structure:
Cell lengths 3.105, 18.005, 5.358 Å; angles 90.00, 106.81, 90.00 degrees
Space group Pm (No. 6)
One atom of each set of equivalent atoms:
Ca 0.000 0.000 0.000 x1
Ca 0.418 0.500 0.837 x1
V 0.213 0.253 0.425 x2
V 0.483 0.177 0.966 x2
V 0.669 0.401 0.338 x2
V 0.751 0.099 0.503 x2
V 0.937 0.320 0.874 x2
O 0.041 0.421 0.084 x2
O 0.126 0.141 0.251 x2
O 0.300 0.363 0.596 x2
O 0.378 0.078 0.755 x2
O 0.579 0.290 0.157 x2
O 0.669 0.000 0.337 x1
O 0.749 0.500 0.499 x1
O 0.841 0.209 0.681 x2

---

Record 4
The following is a simulated powder X-ray diffraction pattern of Ca2V3O8. It was derived from a PBE+U-relaxed structure, using Cu Kα (λ = 1.5418 Å).

Largest 10 diffraction maxima, most intense first, 2θ from 15° to 90°:
2θ (°), I (rel.)
16.86, 100
27.63, 91
43.86, 85
29.52, 82
35.42, 68
54.51, 47
33.37, 44
63.71, 43
20.47, 40
59.15, 40

Structure:
Cell lengths 11.271, 6.246, 4.970 Å; angles 90.00, 111.11, 90.00 degrees
Space group C2/m (No. 12)
One atom of each set of equivalent atoms:
Ca 0.224 0.000 0.162 x4
V 0.000 0.231 0.500 x4
V 0.000 0.500 0.000 x2
O 0.099 0.500 0.395 x4
O 0.104 0.000 0.455 x4
O 0.105 0.281 0.888 x8

---

Record 5
The following is a simulated powder X-ray diffraction pattern of CaV6O23. It was derived from a PBE+U-relaxed structure, using Cu Kα (λ = 1.5418 Å).

Largest 10 diffraction maxima, most intense first, 2θ from 15° to 90°:
2θ (°), I (rel.)
26.45, 100
16.40, 57
33.77, 48
49.60, 36
30.02, 36
23.23, 35
28.13, 30
16.73, 27
40.79, 24
38.64, 20

Structure:
Cell lengths 10.826, 3.676, 12.581 Å; angles 90.00, 93.33, 90.00 degrees
Space group Pm (No. 6)
One atom of each set of equivalent atoms:
Ca 0.000 0.000 0.000 x1
V 0.413 0.500 0.709 x1
V 0.447 0.000 0.315 x1
V 0.498 0.500 0.968 x1
V 0.570 0.000 0.551 x1
V 0.628 0.500 0.200 x1
V 0.645 0.000 0.801 x1
O 0.102 0.500 0.080 x1
O 0.187 0.000 0.934 x1
O 0.218 0.000 0.439 x1
O 0.280 0.500 0.644 x1
O 0.308 0.000 0.262 x1
O 0.385 0.500 0.844 x1
O 0.400 0.500 0.060 x1
O 0.432 0.000 0.459 x1
O 0.476 0.000 0.712 x1
O 0.499 0.500 0.310 x1
O 0.538 0.000 0.931 x1
O 0.542 0.500 0.590 x1
O 0.573 0.000 0.209 x1
O 0.636 0.500 0.823 x1
O 0.646 0.500 0.059 x1
O 0.678 0.000 0.467 x1
O 0.703 0.000 0.680 x1
O 0.766 0.500 0.256 x1
O 0.815 0.000 0.881 x1
O 0.902 0.500 0.584 x1
O 0.908 0.000 0.483 x1
O 0.914 0.000 0.822 x1
O 0.980 0.500 0.104 x1

---

Record 6
The following is a simulated powder X-ray diffraction pattern of CaV4O15. It was derived from a PBE+U-relaxed structure, using Cu Kα (λ = 1.5418 Å).

Largest 10 diffraction maxima, most intense first, 2θ from 15° to 90°:
2θ (°), I (rel.)
19.71, 100
29.20, 85
20.87, 51
20.60, 43
27.47, 27
30.70, 23
17.60, 19
31.01, 17
28.59, 15
36.05, 15

Structure:
Cell lengths 6.316, 6.322, 9.499 Å; angles 71.46, 85.73, 75.25 degrees
Space group P1 (No. 1)
One atom of each set of equivalent atoms:
Ca 0.000 0.000 0.000 x1
V 0.030 0.942 0.421 x1
V 0.057 0.377 0.585 x1
V 0.448 0.135 0.416 x1
V 0.498 0.567 0.558 x1
O 0.016 0.942 0.245 x1
O 0.045 0.632 0.974 x1
O 0.048 0.215 0.760 x1
O 0.067 0.659 0.577 x1
O 0.116 0.185 0.463 x1
O 0.381 0.334 0.543 x1
O 0.383 0.849 0.424 x1
O 0.438 0.289 0.244 x1
O 0.438 0.876 0.977 x1
O 0.491 0.578 0.725 x1
O 0.580 0.944 0.024 x1
O 0.724 0.026 0.468 x1
O 0.772 0.477 0.510 x1
O 0.812 0.398 0.011 x1
O 0.883 0.542 0.059 x1

---

Record 7
The following is a simulated powder X-ray diffraction pattern of CaV3O7. It was derived from a PBE+U-relaxed structure, using Cu Kα (λ = 1.5418 Å).

Largest 10 diffraction maxima, most intense first, 2θ from 15° to 90°:
2θ (°), I (rel.)
28.91, 100
16.25, 80
24.76, 29
34.34, 23
30.58, 21
49.35, 20
48.59, 17
33.31, 16
56.24, 15
25.13, 14

Structure:
Cell lengths 10.907, 10.448, 5.380 Å; angles 90.00, 90.00, 90.00 degrees
Space group Pnma (No. 62)
One atom of each set of equivalent atoms:
Ca 0.079 0.250 0.181 x4
V 0.188 0.524 0.698 x8
V 0.216 0.750 0.190 x4
O 0.045 0.577 0.717 x8
O 0.064 0.750 0.176 x4
O 0.217 0.119 0.457 x8
O 0.222 0.119 0.933 x8

---

Record 8
The following is a simulated powder X-ray diffraction pattern of CaV4O9. It was derived from a PBE+U-relaxed structure, using Cu Kα (λ = 1.5418 Å).

Largest 10 diffraction maxima, most intense first, 2θ from 15° to 90°:
2θ (°), I (rel.)
29.28, 100
17.06, 48
33.64, 40
48.31, 31
57.50, 22
42.24, 19
22.70, 14
51.61, 13
58.64, 13
64.11, 9

Structure:
Cell lengths 8.425, 8.425, 5.198 Å; angles 90.00, 90.00, 90.00 degrees
Space group P4/n (No. 85, origin choice 2)
One atom of each set of equivalent atoms:
Ca 0.250 0.250 0.158 x2
V 0.035 0.660 0.373 x8
O 0.004 0.320 0.937 x8
O 0.043 0.143 0.461 x8
O 0.250 0.750 0.500 x2

---

Record 9
The following is a simulated powder X-ray diffraction pattern of Ca2YVO5. It was derived from a PBE+U-relaxed structure, using Cu Kα (λ = 1.5418 Å).

Largest 10 diffraction maxima, most intense first, 2θ from 15° to 90°:
2θ (°), I (rel.)
31.77, 100
32.57, 43
31.29, 39
45.79, 38
56.02, 27
25.07, 24
22.43, 20
57.61, 20
22.21, 18
45.31, 18

Structure:
Cell lengths 16.013, 5.718, 5.498 Å; angles 90.00, 90.00, 90.00 degrees
Space group Ima2 (No. 46)
One atom of each set of equivalent atoms:
Ca 0.099 0.030 0.000 x8
Y 0.250 0.545 0.966 x4
V 0.000 0.000 0.525 x4
O 0.019 0.749 0.775 x8
O 0.129 0.082 0.557 x8
O 0.250 0.583 0.565 x4

---

Record 10
The following is a simulated powder X-ray diffraction pattern of CaW4O6. It was derived from a PBE+U-relaxed structure, using Cu Kα (λ = 1.5418 Å).

Largest 10 diffraction maxima, most intense first, 2θ from 15° to 90°:
2θ (°), I (rel.)
32.00, 100
39.00, 46
36.27, 45
33.15, 42
37.77, 40
55.99, 35
30.75, 30
58.69, 26
40.97, 26
33.32, 25

Structure:
Cell lengths 3.249, 10.756, 16.376 Å; angles 90.00, 90.00, 90.00 degrees
Space group Cmcm (No. 63)
One atom of each set of equivalent atoms:
Ca 0.000 0.174 0.250 x4
W 0.000 0.085 0.635 x8
W 0.000 0.352 0.540 x8
O 0.000 0.000 0.000 x4
O 0.000 0.175 0.750 x4
O 0.000 0.280 0.104 x8
O 0.000 0.450 0.657 x8